Computed powder X-ray diffraction pattern of MnTl3F4 for Cu Kα, 1.54184 Å, from a crystal structure in Alexandria, relaxed with GGA+U.

Most intense lines, 2θ = 5–70°, by intensity:
2θ = 26.63°, rel. 100, (1 1 2)
2θ = 42.34°, rel. 33, (2 0 4)
2θ = 55.48°, rel. 26, (3 1 2)
2θ = 45.61°, rel. 23, (1 1 6)
2θ = 25.47°, rel. 23, (0 0 4)
2θ = 33.24°, rel. 22, (2 0 0)
2θ = 68.14°, rel. 15, (3 1 6)
2θ = 54.86°, rel. 12, (2 2 4)
2θ = 47.72°, rel. 12, (2 2 0)
2θ = 63.40°, rel. 9, (2 0 8)

Structural model:
Cell lengths 5.3905, 5.3905, 13.9909 Å; angles 90.00, 90.00, 90.00 degrees
Fractional coordinates of all 16 atoms:
Mn 0.0000 0.0000 0.0000
Mn 0.5000 0.5000 0.5000
Tl 0.0000 0.0000 0.5000
Tl 0.0000 0.5000 0.2500
Tl 0.0000 0.5000 0.7500
Tl 0.5000 0.0000 0.2500
Tl 0.5000 0.0000 0.7500
Tl 0.5000 0.5000 0.0000
F 0.2035 0.2035 0.9079
F 0.2035 0.7965 0.0921
F 0.2965 0.2965 0.4079
F 0.2965 0.7035 0.5921
F 0.7035 0.2965 0.5921
F 0.7035 0.7035 0.4079
F 0.7965 0.2035 0.0921
F 0.7965 0.7965 0.9079